No. 1
Diffraction record for V2CuH18N6O10. The PXRD pattern is theoretical, not measured: it uses the GGA+U geometry in the Materials Project and Cu Ka.
Peak positions follow from Bragg's law for the DFT cell and can differ from measured ones.

```
V2CuH18N6O10
1.0
7.481 0.000 0.000
1.967 7.254 0.000
1.765 3.401 6.640
V Cu H N O
2 1 18 6 10
Cartesian
1.775 1.400 1.541 V
9.439 9.255 5.099 V
5.607 5.328 3.320 Cu
4.012 8.092 6.286 H
3.141 5.531 3.835 H
4.514 9.638 5.913 H
4.421 8.469 4.696 H
3.382 3.972 3.284 H
3.758 4.374 4.866 H
5.237 5.917 5.817 H
4.696 5.755 1.024 H
4.524 4.114 1.357 H
6.689 6.541 5.282 H
6.517 4.901 5.615 H
5.976 4.738 0.823 H
7.455 6.282 1.774 H
7.831 6.684 3.356 H
6.792 2.186 1.943 H
6.699 1.018 0.727 H
8.073 5.124 2.805 H
7.202 2.564 0.354 H
3.983 8.826 5.569 N
3.755 4.713 3.895 N
5.157 4.924 1.410 N
6.056 5.731 5.230 N
7.458 5.942 2.744 N
7.230 1.829 1.071 N
2.974 7.572 2.909 O
2.074 3.189 0.969 O
2.025 0.430 0.211 O
4.434 7.668 3.026 O
3.233 2.632 1.683 O
7.981 8.023 4.957 O
6.779 2.988 3.614 O
9.188 10.226 6.429 O
9.139 7.467 5.671 O
8.239 3.083 3.731 O
```

Largest 10 diffraction maxima, low angle first, 2θ from 10° to 90°:
13.33 deg, I 118; 15.89 deg, I 1000; 16.79 deg, I 141; 19.30 deg, I 413; 20.06 deg, I 531; 23.18 deg, I 204; 23.91 deg, I 251; 26.24 deg, I 112; 29.55 deg, I 122; 39.33 deg, I 104

***

No. 2
Diffraction record for VCuHPbO5. The PXRD pattern is theoretical, not measured: it uses the GGA+U geometry in the Materials Project and Cu Ka.
Peak positions follow from Bragg's law for the DFT cell and can differ from measured ones.

```
VCuHPbO5
1.0
7.845 0.000 0.000
0.000 6.164 0.000
0.000 0.000 9.278
V Cu H Pb O
4 4 4 4 20
Cartesian
0.875 1.541 1.824 V
3.048 4.623 6.463 V
4.798 1.541 2.815 V
6.970 4.623 7.454 V
0.000 0.000 4.639 Cu
0.000 3.082 4.639 Cu
3.923 0.000 0.000 Cu
3.923 3.082 0.000 Cu
1.942 1.541 4.685 H
1.980 4.623 0.045 H
5.865 1.541 9.233 H
5.903 4.623 4.594 H
1.098 1.541 7.703 Pb
2.825 4.623 3.063 Pb
5.020 1.541 6.215 Pb
6.748 4.623 1.576 Pb
0.469 4.623 8.523 O
0.858 0.029 2.797 O
0.858 3.053 2.797 O
1.080 1.541 5.198 O
1.676 4.623 5.425 O
2.246 1.541 0.786 O
2.843 4.623 0.558 O
3.065 3.111 7.437 O
3.065 6.134 7.437 O
3.453 1.541 3.884 O
4.392 4.623 5.394 O
4.781 0.029 1.842 O
4.781 3.053 1.842 O
5.002 1.541 8.720 O
5.599 4.623 8.493 O
6.169 1.541 3.853 O
6.766 4.623 4.081 O
6.987 3.111 6.481 O
6.987 6.134 6.481 O
7.376 1.541 0.755 O
```

Largest 10 diffraction maxima, low angle first, 2θ from 10° to 90°:
17.27 deg, I 594; 20.68 deg, I 397; 22.26 deg, I 284; 26.94 deg, I 1000; 31.08 deg, I 515; 32.68 deg, I 465; 33.26 deg, I 392; 34.40 deg, I 631; 38.39 deg, I 392; 54.77 deg, I 422

***

No. 3
Diffraction record for SrVCuHO5. The PXRD pattern is theoretical, not measured: it uses the GGA+U geometry in the Materials Project and Cu Ka.
Peak positions follow from Bragg's law for the DFT cell and can differ from measured ones.

```
SrVCuHO5
1.0
5.946 0.000 0.000
0.000 7.625 0.000
0.000 0.000 9.863
Sr V Cu H O
4 4 4 4 20
Cartesian
0.127 1.031 1.709 Sr
2.846 6.594 6.641 Sr
3.100 2.782 8.154 Sr
5.819 4.844 3.222 Sr
0.059 4.647 6.569 V
2.914 2.978 1.638 V
3.032 6.791 3.294 V
5.887 0.834 8.226 V
1.480 1.926 4.927 Cu
1.493 5.700 9.859 Cu
4.454 1.887 4.936 Cu
4.466 5.738 0.004 Cu
0.046 7.605 4.793 H
2.927 0.020 9.725 H
3.020 3.833 5.070 H
5.900 3.792 0.139 H
0.005 0.843 4.303 O
0.020 7.053 9.379 O
0.309 6.022 5.542 O
1.412 0.989 7.335 O
1.435 4.609 7.616 O
1.538 3.017 2.684 O
1.561 6.636 2.403 O
2.664 1.603 0.610 O
2.953 0.573 4.447 O
2.968 6.782 9.235 O
2.978 2.969 5.560 O
2.994 4.385 0.485 O
3.282 5.416 4.322 O
4.385 2.823 2.529 O
4.409 6.829 2.247 O
4.511 0.796 7.179 O
4.534 4.802 7.460 O
5.637 2.209 9.253 O
5.926 3.240 5.416 O
5.942 4.656 0.628 O
```

Largest 10 diffraction maxima, low angle first, 2θ from 10° to 90°:
20.98 deg, I 294; 27.80 deg, I 665; 29.59 deg, I 1000; 33.29 deg, I 718; 33.60 deg, I 573; 42.70 deg, I 170; 47.74 deg, I 170; 47.94 deg, I 226; 55.14 deg, I 340; 57.38 deg, I 317

***

No. 4
Diffraction record for V2Cu3H6O11. The PXRD pattern is theoretical, not measured: it uses the GGA+U geometry in the Materials Project and Cu Ka.
Peak positions follow from Bragg's law for the DFT cell and can differ from measured ones.

```
V2Cu3H6O11
1.0
5.438 -2.937 0.000
5.438 2.937 0.000
-0.725 0.000 7.292
V Cu H O
2 3 6 11
Cartesian
-0.115 0.000 1.806 V
10.267 0.000 5.487 V
2.359 -1.435 3.647 Cu
5.076 0.019 3.646 Cu
7.793 -1.435 3.646 Cu
2.695 0.071 0.019 H
3.234 0.014 5.485 H
4.152 0.046 0.530 H
6.000 0.046 6.763 H
6.918 0.014 1.807 H
7.457 0.071 7.274 H
5.438 2.836 0.000 O
1.520 0.026 2.562 O
4.436 1.564 2.306 O
5.716 1.564 4.986 O
3.317 0.034 4.471 O
2.873 -0.177 7.043 O
6.835 0.034 2.822 O
4.467 -1.537 2.264 O
7.279 -0.177 0.250 O
5.684 -1.537 5.028 O
8.632 0.026 4.730 O
```

Largest 10 diffraction maxima, low angle first, 2θ from 10° to 90°:
12.14 deg, I 1000; 28.12 deg, I 132; 29.31 deg, I 183; 30.65 deg, I 200; 33.11 deg, I 118; 34.18 deg, I 114; 34.75 deg, I 179; 37.51 deg, I 204; 60.20 deg, I 117; 60.80 deg, I 91

***

No. 5
Diffraction record for V2Cu3H6O11. The PXRD pattern is theoretical, not measured: it uses the GGA+U geometry in the Materials Project and Cu Ka.
Peak positions follow from Bragg's law for the DFT cell and can differ from measured ones.

```
V2Cu3H6O11
1.0
5.475 -2.954 0.000
5.475 2.954 0.000
-0.858 0.000 7.145
V Cu H O
2 3 6 11
Cartesian
-0.155 0.000 1.783 V
10.248 0.000 5.362 V
2.309 1.477 3.573 Cu
2.309 -1.477 3.573 Cu
5.046 0.000 3.573 Cu
3.821 0.764 0.434 H
3.176 0.000 5.434 H
3.821 -0.764 0.434 H
6.272 0.764 6.712 H
6.917 0.000 1.711 H
6.272 -0.764 6.712 H
0.000 0.000 0.000 O
1.475 0.000 2.531 O
4.437 1.560 2.219 O
5.656 1.560 4.926 O
2.775 0.000 6.992 O
3.268 0.000 4.413 O
6.825 0.000 2.733 O
7.318 0.000 0.153 O
4.437 -1.560 2.219 O
5.656 -1.560 4.926 O
8.617 0.000 4.615 O
```

Largest 10 diffraction maxima, low angle first, 2θ from 10° to 90°:
12.39 deg, I 1000; 28.21 deg, I 148; 29.53 deg, I 180; 31.19 deg, I 141; 32.76 deg, I 96; 32.95 deg, I 118; 33.86 deg, I 127; 34.55 deg, I 197; 37.53 deg, I 215; 59.89 deg, I 156